No. 1
# LiP2Pb
Theoretical powder diffractogram, CuKα. Input: a structure optimized by DFT (PBE).
Intensities are scaled so that the largest is 100.

Atomic structure:
```
data_LiP2Pb
_chemical_formula_sum 'Li2 P4 Pb2'
_cell_length_a 3.3145
_cell_length_b 4.1798
_cell_length_c 11.9060
_cell_angle_alpha 90.00
_cell_angle_beta 90.00
_cell_angle_gamma 90.00
_space_group_name_H-M_alt 'I m m 2'
_space_group_IT_number 44
_space_group_name_Hall 'I 2 -2'
loop_
_atom_site_label
_atom_site_type_symbol
_atom_site_fract_x
_atom_site_fract_y
_atom_site_fract_z
Li1 Li 0.0000 0.0000 0.0000
P1 P 0.0000 0.0000 0.5004
P2 P 0.0000 0.5000 0.1354
Pb1 Pb 0.0000 0.5000 0.7774
```

Top 6 peaks for 10° ≤ 2θ ≤ 90°, by angle:
two_theta	d [Å]	intensity	index
14.88	5.953	85	0 0 2
22.54	3.944	100	0 1 1
27.94	3.193	50	1 0 1
31.07	2.878	58	0 1 3
35.28	2.544	52	1 0 3
37.79	2.380	79	1 1 2

---

No. 2
# Na4Sr5Li2
Theoretical powder diffractogram, CuKα. Input: a structure optimized by DFT (PBE).
Intensities are scaled so that the largest is 100.

Atomic structure:
```
data_Na4Sr5Li2
_chemical_formula_sum 'Na8 Sr10 Li4'
_cell_length_a 9.8629
_cell_length_b 21.3646
_cell_length_c 4.4468
_cell_angle_alpha 90.00
_cell_angle_beta 90.00
_cell_angle_gamma 90.00
_space_group_name_H-M_alt 'P b a m'
_space_group_IT_number 55
_space_group_name_Hall '-P 2 2ab'
loop_
_atom_site_label
_atom_site_type_symbol
_atom_site_fract_x
_atom_site_fract_y
_atom_site_fract_z
Na1 Na 0.0940 0.1513 0.0000
Na2 Na 0.2046 0.4375 0.0000
Sr1 Sr 0.0000 0.0000 0.5000
Sr2 Sr 0.1120 0.5863 0.5000
Sr3 Sr 0.2273 0.7893 0.5000
Li1 Li 0.0119 0.7032 0.0000
```

Top 6 peaks for 10° ≤ 2θ ≤ 90°, by angle:
two_theta	d [Å]	intensity	index
19.83	4.477	48	2 2 0
19.97	4.447	61	0 0 1
22.68	3.921	44	1 5 0
27.62	3.229	100	1 4 1
28.29	3.155	82	2 2 1
30.39	2.941	44	1 5 1

---

No. 3
# PrMg2IrO8
Theoretical powder diffractogram, CuKα. Input: a structure optimized by DFT (PBE).
Intensities are scaled so that the largest is 100.

Atomic structure:
```
data_PrMg2IrO8
_chemical_formula_sum 'Pr1 Mg2 Ir1 O8'
_cell_length_a 4.4846
_cell_length_b 6.8213
_cell_length_c 4.7483
_cell_angle_alpha 90.00
_cell_angle_beta 90.09
_cell_angle_gamma 90.00
_space_group_name_H-M_alt 'P 1 2/m 1'
_space_group_IT_number 10
_space_group_name_Hall '-P 2y'
loop_
_atom_site_label
_atom_site_type_symbol
_atom_site_fract_x
_atom_site_fract_y
_atom_site_fract_z
Pr1 Pr 0.0000 0.0000 0.0000
Mg1 Mg 0.5000 0.2666 0.5000
Ir1 Ir 0.0000 0.5000 0.0000
O1 O 0.2393 0.5000 0.6728
O2 O 0.2463 0.2966 0.1463
O3 O 0.2600 0.0000 0.5416
```

Top 6 peaks for 10° ≤ 2θ ≤ 90°, by angle:
two_theta	d [Å]	intensity	index
18.69	4.748	61	0 0 1
19.80	4.485	57	1 0 0
27.35	3.261	100	1 0 -1
32.99	2.715	60	1 2 0
38.20	2.356	48	1 2 1
52.51	1.743	45	2 2 1

---

No. 4
# Lu2TeO6
Theoretical powder diffractogram, CuKα. Input: a structure optimized by DFT (PBE).
Intensities are scaled so that the largest is 100.

Atomic structure:
```
data_Lu2TeO6
_chemical_formula_sum 'Lu6 Te3 O18'
_cell_length_a 9.0292
_cell_length_b 9.0292
_cell_length_c 5.0737
_cell_angle_alpha 90.00
_cell_angle_beta 90.00
_cell_angle_gamma 120.00
_space_group_name_H-M_alt 'P 3 2 1'
_space_group_IT_number 150
_space_group_name_Hall 'P 3 2"'
loop_
_atom_site_label
_atom_site_type_symbol
_atom_site_fract_x
_atom_site_fract_y
_atom_site_fract_z
Lu1 Lu 0.0000 0.2874 0.0000
Lu2 Lu 0.0000 0.6240 0.5000
Te1 Te 0.0000 0.0000 0.5000
Te2 Te 0.3333 0.6667 0.0006
O1 O 0.0834 0.8789 0.2859
O2 O 0.1291 0.5432 0.2180
O3 O 0.2241 0.7635 0.7821
```

Top 6 peaks for 10° ≤ 2θ ≤ 90°, by angle:
two_theta	d [Å]	intensity	index
26.43	3.373	100	1 1 1
28.83	3.097	35	0 2 1
34.41	2.607	38	3 0 0
43.90	2.062	15	2 2 1
50.18	1.818	41	0 3 2
54.23	1.691	21	2 3 1

---

No. 5
# CsKPbF6
Theoretical powder diffractogram, CuKα. Input: a structure optimized by DFT (PBE).
Intensities are scaled so that the largest is 100.

Atomic structure:
```
data_CsKPbF6
_chemical_formula_sum 'Cs2 K2 Pb2 F12'
_cell_length_a 6.6145
_cell_length_b 11.4790
_cell_length_c 5.7142
_cell_angle_alpha 90.00
_cell_angle_beta 90.06
_cell_angle_gamma 90.00
_space_group_name_H-M_alt 'C 1 2 1'
_space_group_IT_number 5
_space_group_name_Hall 'C 2y'
loop_
_atom_site_label
_atom_site_type_symbol
_atom_site_fract_x
_atom_site_fract_y
_atom_site_fract_z
Cs1 Cs 0.0000 0.0000 0.0000
K1 K 0.0000 0.3335 0.5000
Pb1 Pb 0.0000 0.6666 0.5000
F1 F 0.1239 0.5309 0.2951
F2 F 0.1408 0.7968 0.2958
F3 F 0.2333 0.1722 0.2962
```

Top 6 peaks for 10° ≤ 2θ ≤ 90°, by angle:
two_theta	d [Å]	intensity	index
15.47	5.730	44	1 1 0
21.96	4.048	100	1 1 1
26.93	3.310	37	2 0 0
35.02	2.562	30	0 4 1
41.78	2.162	22	2 0 2
44.73	2.026	33	3 1 1

---

No. 6
# SmMg3Bi3
Theoretical powder diffractogram, CuKα. Input: a structure optimized by DFT (PBE).
Intensities are scaled so that the largest is 100.

Atomic structure:
```
data_SmMg3Bi3
_chemical_formula_sum 'Sm2 Mg6 Bi6'
_cell_length_a 11.7558
_cell_length_b 11.7558
_cell_length_c 4.4559
_cell_angle_alpha 90.00
_cell_angle_beta 90.00
_cell_angle_gamma 120.00
_space_group_name_H-M_alt 'P 63/m'
_space_group_IT_number 176
_space_group_name_Hall '-P 6c'
loop_
_atom_site_label
_atom_site_type_symbol
_atom_site_fract_x
_atom_site_fract_y
_atom_site_fract_z
Sm1 Sm 0.3333 0.6667 0.2500
Mg1 Mg 0.0424 0.6257 0.7500
Bi1 Bi 0.1347 0.4310 0.7500
```

Top 6 peaks for 10° ≤ 2θ ≤ 90°, by angle:
two_theta	d [Å]	intensity	index
23.11	3.848	100	1 2 0
26.59	3.353	72	2 0 1
30.70	2.912	72	2 1 1
37.72	2.385	36	1 3 1
40.61	2.222	49	4 1 0
58.69	1.573	34	4 1 2

---

No. 7
# MgZrMo2
Theoretical powder diffractogram, CuKα. Input: a structure optimized by DFT (PBE).
Intensities are scaled so that the largest is 100.

Atomic structure:
```
data_MgZrMo2
_chemical_formula_sum 'Mg1 Zr1 Mo2'
_cell_length_a 3.2517
_cell_length_b 3.2517
_cell_length_c 7.0806
_cell_angle_alpha 90.00
_cell_angle_beta 90.00
_cell_angle_gamma 90.00
_space_group_name_H-M_alt 'P 4 m m'
_space_group_IT_number 99
_space_group_name_Hall 'P 4 -2'
loop_
_atom_site_label
_atom_site_type_symbol
_atom_site_fract_x
_atom_site_fract_y
_atom_site_fract_z
Mg1 Mg 0.0000 0.0000 0.0000
Zr1 Zr 0.5000 0.5000 0.6874
Mo1 Mo 0.0000 0.0000 0.4452
Mo2 Mo 0.5000 0.5000 0.2494
```

Top 6 peaks for 10° ≤ 2θ ≤ 90°, by angle:
two_theta	d [Å]	intensity	index
12.50	7.081	52	0 0 1
37.56	2.395	100	1 0 2
39.18	2.299	50	1 1 0
47.61	1.910	19	1 0 3
56.61	1.626	17	2 0 0
69.93	1.345	30	2 1 2

---

No. 8
# Hf5Ga3Au
Theoretical powder diffractogram, CuKα. Input: a structure optimized by DFT (PBE).
Intensities are scaled so that the largest is 100.

Atomic structure:
```
data_Hf5Ga3Au
_chemical_formula_sum 'Hf20 Ga12 Au4'
_cell_length_a 9.5432
_cell_length_b 8.2133
_cell_length_c 10.1608
_cell_angle_alpha 90.00
_cell_angle_beta 95.25
_cell_angle_gamma 90.00
_space_group_name_H-M_alt 'C 1 2/m 1'
_space_group_IT_number 12
_space_group_name_Hall '-C 2y'
loop_
_atom_site_label
_atom_site_type_symbol
_atom_site_fract_x
_atom_site_fract_y
_atom_site_fract_z
Hf1 Hf 0.0000 0.1737 0.0000
Hf2 Hf 0.0315 0.0000 0.3064
Hf3 Hf 0.1903 0.2974 0.6553
Hf4 Hf 0.2290 0.0000 0.8534
Ga1 Ga 0.0000 0.5000 0.0000
Ga2 Ga 0.0000 0.5000 0.5000
Ga3 Ga 0.2155 0.0000 0.5439
Ga4 Ga 0.2434 0.0000 0.1216
Au1 Au 0.0230 0.5000 0.2568
```

Top 6 peaks for 10° ≤ 2θ ≤ 90°, by angle:
two_theta	d [Å]	intensity	index
30.60	2.921	98	2 2 1
32.91	2.721	100	2 2 -2
35.02	2.562	64	1 3 -1
38.14	2.360	74	4 0 -1
38.76	2.323	71	2 0 -4
44.07	2.055	60	0 4 0